# 1
Calculated X-ray diffraction stick pattern
Compound: Cu2MoSeO7
Radiation: Cu Kα (weighted mean of Kα1 and Kα2)
Structure: the PBE+U geometry in the Materials Project
Neutral-atom scattering factors, no anomalous dispersion.

Structure:
```
data_Cu2MoSeO7
_cell_length_a 8.3433
_cell_length_b 9.1584
_cell_length_c 8.4719
_cell_angle_alpha 90.00
_cell_angle_beta 104.49
_cell_angle_gamma 90.00
_symmetry_space_group_name_H-M 'P 1 21/c 1'
_symmetry_Int_Tables_number 14
loop_
_symmetry_equiv_pos_as_xyz
'x,y,z'
'-x,-y,-z'
'-x,y+1/2,-z+1/2'
'x,-y+1/2,z+1/2'
loop_
_atom_site_label
_atom_site_type_symbol
_atom_site_fract_x
_atom_site_fract_y
_atom_site_fract_z
Cu1 Cu 0.1852 0.0064 0.4735
Cu2 Cu 0.1879 0.0065 0.1181
Mo1 Mo 0.3770 0.7093 0.3422
Se1 Se 0.1839 0.1719 0.7949
O1 O 0.0661 0.1072 0.9225
O2 O 0.0657 0.1125 0.6069
O3 O 0.1190 0.1426 0.2803
O4 O 0.2799 0.6053 0.8194
O5 O 0.3159 0.6043 0.1593
O6 O 0.3233 0.6090 0.5025
O7 O 0.4054 0.2286 0.1079
```

Peak list (10 most intense, 10° ≤ 2θ ≤ 80°, in order of falling intensity)
2θ (°)  d (Å)  intensity  (hkl)
24.08  3.696  100  2 1 0
29.25  3.054  66  0 2 2
28.53  3.129  49  2 1 -2
22.31  3.984  41  1 2 0
22.01  4.039  41  2 0 0
32.27  2.774  37  1 3 -1
34.18  2.624  32  1 3 1
33.28  2.692  25  3 0 0
23.79  3.740  23  0 1 2
60.86  1.522  19  0 5 3

---

# 2
Calculated X-ray diffraction stick pattern
Compound: Sr2Cu2MoO7
Radiation: Cu Kα (weighted mean of Kα1 and Kα2)
Structure: the PBE+U geometry in the Materials Project
Neutral-atom scattering factors, no anomalous dispersion.

Structure:
```
data_Sr2Cu2MoO7
_cell_length_a 7.4784
_cell_length_b 25.8931
_cell_length_c 5.3118
_cell_angle_alpha 90.00
_cell_angle_beta 134.37
_cell_angle_gamma 90.00
_symmetry_space_group_name_H-M 'C 1 m 1'
_symmetry_Int_Tables_number 8
loop_
_symmetry_equiv_pos_as_xyz
'x,y,z'
'x,-y,z'
'x+1/2,y+1/2,z'
'x+1/2,-y+1/2,z'
loop_
_atom_site_label
_atom_site_type_symbol
_atom_site_fract_x
_atom_site_fract_y
_atom_site_fract_z
Sr1 Sr 0.0000 0.1148 0.0000
Sr2 Sr 0.4835 0.1156 0.9858
Cu1 Cu 0.4897 0.3109 0.4885
Cu2 Cu 0.4944 0.1892 0.4987
Mo1 Mo 0.0876 0.5000 0.5107
Mo2 Mo 0.4050 0.5000 0.3888
O1 O 0.0209 0.0657 0.5508
O2 O 0.0399 0.5000 0.0912
O3 O 0.2414 0.1736 0.4900
O4 O 0.2424 0.1757 0.9971
O5 O 0.2421 0.3286 0.4913
O6 O 0.2426 0.3265 0.9966
O7 O 0.4081 0.5000 0.0049
O8 O 0.4759 0.0643 0.4801
```

Peak list (10 most intense, 10° ≤ 2θ ≤ 80°, in order of falling intensity)
2θ (°)  d (Å)  intensity  (hkl)
27.23  3.275  100  0 4 1
27.55  3.238  88  2 4 -1
33.75  2.656  63  2 0 -2
20.58  4.316  58  0 6 0
36.72  2.447  56  2 8 -1
36.48  2.463  52  0 8 1
33.52  2.673  52  2 0 0
31.38  2.851  48  0 6 1
34.64  2.589  39  0 10 0
48.71  1.869  39  4 0 -2

---

# 3
Calculated X-ray diffraction stick pattern
Compound: Sr10Cu5Mo4WO30
Radiation: Cu Kα (weighted mean of Kα1 and Kα2)
Structure: the PBE+U geometry in the Materials Project
Neutral-atom scattering factors, no anomalous dispersion.

Structure:
```
data_Sr10Cu5Mo4WO30
_cell_length_a 7.7738
_cell_length_b 8.4930
_cell_length_c 19.8276
_cell_angle_alpha 90.00
_cell_angle_beta 101.29
_cell_angle_gamma 90.00
_symmetry_space_group_name_H-M 'C 1 2/m 1'
_symmetry_Int_Tables_number 12
loop_
_symmetry_equiv_pos_as_xyz
'x,y,z'
'-x,-y,-z'
'-x,y,-z'
'x,-y,z'
'x+1/2,y+1/2,z'
'-x+1/2,-y+1/2,-z'
'-x+1/2,y+1/2,-z'
'x+1/2,-y+1/2,z'
loop_
_atom_site_label
_atom_site_type_symbol
_atom_site_fract_x
_atom_site_fract_y
_atom_site_fract_z
Sr1 Sr 0.0000 0.2500 0.0000
Sr2 Sr 0.0999 0.2500 0.1999
Sr3 Sr 0.1997 0.2500 0.3994
Cu1 Cu 0.0000 0.0000 0.5000
Cu2 Cu 0.1003 0.5000 0.7004
Cu3 Cu 0.2000 0.0000 0.9000
Mo1 Mo 0.1001 0.0000 0.7001
Mo2 Mo 0.2000 0.5000 0.9001
W1 W 0.0000 0.5000 0.5000
O1 O 0.0000 0.2703 0.5000
O2 O 0.0033 0.5000 0.5986
O3 O 0.0446 0.0000 0.0817
O4 O 0.0554 0.5000 0.1183
O5 O 0.0964 0.0000 0.6016
O6 O 0.1000 0.2296 0.7000
O7 O 0.1035 0.0000 0.7985
O8 O 0.1445 0.5000 0.2817
O9 O 0.1554 0.0000 0.3182
O10 O 0.1965 0.5000 0.8016
O11 O 0.2000 0.2704 0.9000
O12 O 0.2035 0.5000 0.9984
O13 O 0.2443 0.0000 0.4815
```

Peak list (10 most intense, 10° ≤ 2θ ≤ 80°, in order of falling intensity)
2θ (°)  d (Å)  intensity  (hkl)
31.19  2.868  100  0 2 5
32.57  2.749  49  2 0 4
57.26  1.609  40  4 2 3
46.73  1.944  29  0 0 10
54.62  1.680  22  2 4 4
42.58  2.123  21  0 4 0
65.05  1.434  20  0 4 10
70.84  1.330  10  0 6 5
19.23  4.615  9  1 1 -3
77.66  1.230  7  2 0 14